The following is a theoretical X-ray diffraction stick pattern of LiZrCdIn. It was derived from a structure optimized by DFT (PBE), using copper Kα.
Intensities are scaled so that the largest is 100.

Structure:
Unit cell a=3.5437 b=4.8408 c=4.9358 alpha=90.00 beta=90.00 gamma=90.00
Fractional positions:
Li 0.0000 0.0000 0.0000
Zr 0.0000 0.5000 0.5000
Cd 0.5000 0.5000 0.0000
In 0.5000 0.0000 0.5000

The 10 most intense peaks (10° ≤ 2θ ≤ 80°), sorted by position:
2θ/deg  I (rel.)
17.97  9
18.33  8
25.13  9
25.78  16
36.33  100
37.15  19
52.99  13
65.45  13
66.42  13
77.10  8

The following is a theoretical X-ray diffraction stick pattern of Cs3CBr6. It was derived from a structure optimized by DFT (PBE), using copper Kα.
Intensities are scaled so that the largest is 100.

Structure:
Unit cell a=8.1832 b=8.1832 c=8.1832 alpha=60.00 beta=60.00 gamma=60.00
Fractional positions:
Cs 0.0000 0.0000 0.0000
Cs 0.2500 0.2500 0.2500
Cs 0.7500 0.7500 0.7500
C 0.5000 0.5000 0.5000
Br 0.2917 0.2917 0.7083
Br 0.2917 0.7083 0.2917
Br 0.2917 0.7083 0.7083
Br 0.7083 0.2917 0.2917
Br 0.7083 0.2917 0.7083
Br 0.7083 0.7083 0.2917

The 10 most intense peaks (10° ≤ 2θ ≤ 80°), sorted by position:
2θ/deg  I (rel.)
21.72  58
25.53  22
26.68  89
30.91  100
33.76  46
40.50  25
44.27  58
49.83  28
52.45  22
61.55  21

The following is a theoretical X-ray diffraction stick pattern of SrCu3Cl8. It was derived from a structure optimized by DFT (PBE), using copper Kα.
Intensities are scaled so that the largest is 100.

Structure:
Unit cell a=6.3595 b=6.3595 c=8.1378 alpha=90.00 beta=90.00 gamma=120.00
Fractional positions:
Sr 0.0000 0.0000 0.0000
Cu 0.0000 0.0000 0.5000
Cu 0.3333 0.6667 0.7340
Cu 0.6667 0.3333 0.2660
Cl 0.0092 0.7098 0.6815
Cl 0.2902 0.2994 0.6815
Cl 0.2994 0.0092 0.3185
Cl 0.3333 0.6667 0.0086
Cl 0.6667 0.3333 0.9914
Cl 0.7006 0.9908 0.6815
Cl 0.7098 0.7006 0.3185
Cl 0.9908 0.2902 0.3185

The 10 most intense peaks (10° ≤ 2θ ≤ 80°), sorted by position:
2θ/deg  I (rel.)
16.09  35
19.46  100
27.25  84
28.06  95
30.18  89
35.84  57
39.52  52
49.16  52
49.66  73
53.47  66

The following is a theoretical X-ray diffraction stick pattern of AcGe2Au3. It was derived from a structure optimized by DFT (PBE), using copper Kα.
Intensities are scaled so that the largest is 100.

Structure:
Unit cell a=8.7469 b=8.7469 c=7.5906 alpha=114.32 beta=114.32 gamma=30.43
Fractional positions:
Ac 0.1488 0.1488 0.0786
Ac 0.8512 0.8512 0.9214
Ge 0.1931 0.1931 0.6922
Ge 0.4867 0.4867 0.8196
Ge 0.5133 0.5133 0.1804
Ge 0.8069 0.8069 0.3078
Au 0.0441 0.0441 0.3689
Au 0.3156 0.3156 0.5748
Au 0.3785 0.3785 0.2667
Au 0.6215 0.6215 0.7333
Au 0.6844 0.6844 0.4252
Au 0.9559 0.9559 0.6311

The 10 most intense peaks (10° ≤ 2θ ≤ 80°), sorted by position:
2θ/deg  I (rel.)
31.02  33
31.27  15
32.50  100
35.71  66
35.84  26
39.25  44
43.26  14
43.46  17
54.19  16
66.90  13

The following is a theoretical X-ray diffraction stick pattern of Ce2In3Hg3. It was derived from a structure optimized by DFT (PBE), using copper Kα.
Intensities are scaled so that the largest is 100.

Structure:
Unit cell a=4.6977 b=4.7177 c=9.4122 alpha=90.00 beta=90.00 gamma=90.00
Fractional positions:
Ce 0.0000 0.0000 0.2487
Ce 0.0000 0.0000 0.7513
In 0.0000 0.5000 0.0000
In 0.0000 0.5000 0.5000
In 0.5000 0.0000 0.5000
Hg 0.5000 0.0000 0.0000
Hg 0.5000 0.5000 0.2589
Hg 0.5000 0.5000 0.7411

The 10 most intense peaks (10° ≤ 2θ ≤ 80°), sorted by position:
2θ/deg  I (rel.)
18.88  3
26.76  3
32.96  100
38.20  33
38.32  17
55.16  23
55.26  11
65.68  14
65.86  27
69.13  12

The following is a theoretical X-ray diffraction stick pattern of CsCdAg2Cl6. It was derived from a structure optimized by DFT (PBE), using copper Kα.
Intensities are scaled so that the largest is 100.

Structure:
Unit cell a=9.7094 b=9.7094 c=8.9336 alpha=106.57 beta=106.57 gamma=106.87
Fractional positions:
Cs 0.1178 0.8822 0.7500
Cs 0.8822 0.1178 0.2500
Cd 0.1988 0.8012 0.2500
Cd 0.8012 0.1988 0.7500
Ag 0.3056 0.4506 0.8419
Ag 0.4506 0.3056 0.3419
Ag 0.5494 0.6944 0.6581
Ag 0.6944 0.5494 0.1581
Cl 0.0522 0.2134 0.6939
Cl 0.1626 0.6357 0.9644
Cl 0.2134 0.0522 0.1939
Cl 0.3219 0.4318 0.5393
Cl 0.3643 0.8374 0.5356
Cl 0.4318 0.3219 0.0393
Cl 0.5682 0.6781 0.9607
Cl 0.6357 0.1626 0.4644
Cl 0.6781 0.5682 0.4607
Cl 0.7866 0.9478 0.8061
Cl 0.8374 0.3643 0.0356
Cl 0.9478 0.7866 0.3061

The 10 most intense peaks (10° ≤ 2θ ≤ 80°), sorted by position:
2θ/deg  I (rel.)
16.03  61
17.46  66
19.18  68
20.04  100
20.80  76
24.37  44
26.95  44
32.20  41
33.51  38
38.05  68